Diffraction record for K5Cr2F12. The X-ray powder pattern is calculated, not measured: it uses DFT lattice parameters and positions (PBE+U) and Cu Kα, 1.54184 Å.
Kinematic intensities with the Lorentz-polarization factor, no thermal factor.

Largest 10 diffraction maxima, in order of falling intensity, 2θ = 5–70°:
d 4.951, 2θ = 17.9°, I 100, (0 1 1); d 7.575, 2θ = 11.7°, I 76, (0 1 0); d 6.190, 2θ = 14.3°, I 62, (1 0 0); d 2.909, 2θ = 30.7°, I 41, (1 0 2); d 3.230, 2θ = 27.6°, I 36, (1 -2 1); d 2.603, 2θ = 34.5°, I 34, (-2 2 1); d 3.711, 2θ = 24.0°, I 29, (1 0 -2); d 1.962, 2θ = 46.3°, I 29, (2 2 1); d 3.067, 2θ = 29.1°, I 27, (1 2 -1); d 3.403, 2θ = 26.2°, I 27, (1 1 -2)

Cell and atoms:
Cell lengths 6.504, 7.785, 7.951 Å; angles 97.38, 104.01, 98.98 degrees
Space group P-1 (No. 2)
Unique sites:
K 0.000 0.000 0.000 x1
K 0.043 0.732 0.399 x2
K 0.446 0.398 0.266 x2
Cr 0.469 0.094 0.831 x2
F 0.220 0.469 0.481 x2
F 0.251 0.032 0.624 x2
F 0.289 0.235 0.921 x2
F 0.342 0.882 0.921 x2
F 0.350 0.047 0.251 x2
F 0.358 0.709 0.206 x2